Diffraction record for LiCrClO. The powder X-ray diffraction pattern is theoretical, not measured: it uses the GGA+U geometry in Alexandria and Cu Kα.
Intensities are scaled so that the largest is 100.

Principal peaks in the range 10° ≤ 2θ ≤ 80°, low angle first:
- (0 0 1), 16.48°, intensity 32
- (1 0 0), 25.38°, intensity 37
- (0 1 1), 30.38°, intensity 100
- (1 1 1), 39.99°, intensity 32
- (0 1 2), 42.33°, intensity 22
- (1 1 2), 49.99°, intensity 27
- (1 0 3), 57.75°, intensity 11
- (2 1 1), 61.52°, intensity 20

Crystal structure
Cell: 3.5078 3.5168 5.3786 Å, 90.00 90.00 90.00°
Sites, in units of the cell vectors:
1 Li 0.0000 0.0000 0.0000
2 Cr 0.5000 0.5000 0.6569
3 Cl 0.5000 0.0000 0.3097
4 O 0.0000 0.5000 0.8153